Structure and theoretical PXRD pattern of AcGaNiO4 (a GGA+U-relaxed structure; Cu Kα (weighted mean of Kα1 and Kα2)).

Top 10 peaks for 2θ = 10–90°, most intense first:
hkl 1 2 1, 2θ 30.65, d = 2.917 Å, rel. 100.0; hkl 1 0 1, 2θ 16.92, d = 5.239 Å, rel. 61.2; hkl 1 0 3, 2θ 33.64, d = 2.664 Å, rel. 35.2; hkl 2 2 4, 2θ 57.03, d = 1.615 Å, rel. 34.8; hkl 2 2 0, 2θ 37.58, d = 2.393 Å, rel. 29.2; hkl 2 0 2, 2θ 34.23, d = 2.619 Å, rel. 28.9; hkl 0 0 2, 2θ 20.29, d = 4.376 Å, rel. 27.0; hkl 1 2 3, 2θ 42.59, d = 2.123 Å, rel. 24.3; hkl 3 2 1, 2θ 50.36, d = 1.812 Å, rel. 24.0; hkl 2 0 0, 2θ 27.27, d = 3.270 Å, rel. 23.0

Structural model:
```
data_AcGaNiO4
_cell_length_a 6.5398
_cell_length_b 7.0241
_cell_length_c 8.7518
_cell_angle_alpha 90.00
_cell_angle_beta 90.00
_cell_angle_gamma 90.00
_symmetry_space_group_name_H-M 'I m m a'
_symmetry_Int_Tables_number 74
_symmetry_space_group_name_Hall '-I 2b 2'
loop_
_atom_site_label
_atom_site_type_symbol
_atom_site_fract_x
_atom_site_fract_y
_atom_site_fract_z
Ac1 Ac 0.0000 0.0000 0.0000
Ga1 Ga 0.0000 0.2500 0.3969
Ni1 Ni 0.2500 0.2500 0.7500
O1 O 0.0000 0.0175 0.2778
O2 O 0.2368 0.2500 0.5240
```